No. 1
Starting from a PBE-relaxed structure, the X-ray diffraction stick pattern of Cu6Hg3Sb4S12 was simulated for a wavelength of 1.5418 Å.
Lines closer than 0.1° are merged.

Peak list (8 most intense, 10 to 90 degrees two-theta, most intense first)
| 2θ (°) | I/Imax |
| --- | --- |
| 27.77 | 100 |
| 54.69 | 30 |
| 32.18 | 26 |
| 46.21 | 26 |
| 46.09 | 25 |
| 54.81 | 10 |
| 74.22 | 7 |
| 67.32 | 7 |

Crystal structure
```
Cu6Hg3Sb4S12
1.0
7.101 4.100 3.204
-7.101 4.100 3.204
0.000 -8.199 3.204
Cu Hg Sb S
6 3 4 12
Direct
0.105 0.636 0.259 Cu
0.152 0.888 0.945 Cu
0.259 0.105 0.636 Cu
0.636 0.259 0.105 Cu
0.888 0.945 0.152 Cu
0.945 0.152 0.888 Cu
0.025 0.409 0.557 Hg
0.409 0.557 0.025 Hg
0.557 0.025 0.409 Hg
0.361 0.361 0.361 Sb
0.507 0.789 0.721 Sb
0.721 0.507 0.789 Sb
0.789 0.721 0.507 Sb
0.057 0.989 0.739 S
0.123 0.174 0.413 S
0.174 0.413 0.123 S
0.278 0.701 0.832 S
0.331 0.880 0.511 S
0.413 0.123 0.174 S
0.511 0.331 0.880 S
0.701 0.832 0.278 S
0.739 0.057 0.989 S
0.832 0.278 0.701 S
0.880 0.511 0.331 S
0.989 0.739 0.057 S
```



No. 2
Starting from a PBE-relaxed structure, the X-ray diffraction stick pattern of Sm3GaGe was simulated for a wavelength of 1.5418 Å.
Lines closer than 0.1° are merged.

Peak list (8 most intense, 10 to 90 degrees two-theta, most intense first)
| 2θ (°) | I/Imax |
| --- | --- |
| 29.26 | 100 |
| 30.55 | 84 |
| 32.31 | 57 |
| 36.28 | 52 |
| 39.41 | 46 |
| 43.59 | 41 |
| 29.96 | 37 |
| 38.59 | 33 |

Crystal structure
```
Sm3GaGe
1.0
7.723 -2.076 0.000
7.723 2.076 0.000
-0.465 0.000 8.433
Sm Ga Ge
6 2 2
Direct
0.048 0.048 0.180 Sm
0.237 0.237 0.821 Sm
0.404 0.404 0.422 Sm
0.596 0.596 0.578 Sm
0.763 0.763 0.179 Sm
0.952 0.952 0.820 Sm
0.207 0.207 0.430 Ga
0.793 0.793 0.570 Ga
0.393 0.393 0.065 Ge
0.607 0.607 0.935 Ge
```



No. 3
Starting from a PBE-relaxed structure, the X-ray diffraction stick pattern of Cd4PSe6 was simulated for a wavelength of 1.5418 Å.
Lines closer than 0.1° are merged.

Peak list (8 most intense, 10 to 90 degrees two-theta, most intense first)
| 2θ (°) | I/Imax |
| --- | --- |
| 28.07 | 100 |
| 24.74 | 73 |
| 44.37 | 69 |
| 24.94 | 68 |
| 29.31 | 67 |
| 29.17 | 65 |
| 44.61 | 65 |
| 27.77 | 61 |

Crystal structure
```
Cd4PSe6
1.0
6.502 -3.734 0.000
6.502 3.734 0.000
-4.563 0.000 12.201
Cd P Se
8 2 12
Direct
0.074 0.926 0.500 Cd
0.236 0.434 0.000 Cd
0.427 0.823 0.837 Cd
0.434 0.236 0.500 Cd
0.712 0.903 0.189 Cd
0.823 0.427 0.337 Cd
0.903 0.712 0.689 Cd
0.926 0.074 0.000 Cd
0.269 0.835 0.244 P
0.835 0.269 0.744 P
0.059 0.575 0.504 Se
0.122 0.590 0.202 Se
0.126 0.184 0.203 Se
0.168 0.714 0.881 Se
0.184 0.126 0.703 Se
0.410 0.855 0.427 Se
0.563 0.627 0.165 Se
0.575 0.059 0.004 Se
0.590 0.122 0.702 Se
0.627 0.563 0.665 Se
0.714 0.168 0.381 Se
0.855 0.410 0.927 Se
```



No. 4
Starting from a PBE-relaxed structure, the X-ray diffraction stick pattern of SrTm2RhO5 was simulated for a wavelength of 1.5418 Å.
Lines closer than 0.1° are merged.

Peak list (8 most intense, 10 to 90 degrees two-theta, most intense first)
| 2θ (°) | I/Imax |
| --- | --- |
| 32.09 | 100 |
| 56.83 | 31 |
| 31.81 | 28 |
| 28.06 | 26 |
| 17.53 | 20 |
| 46.37 | 18 |
| 42.29 | 16 |
| 47.04 | 15 |

Crystal structure
```
SrTm2RhO5
1.0
-1.932 2.813 5.775
1.932 -2.813 5.775
1.932 2.813 -5.775
Sr Tm Rh O
1 2 1 5
Direct
0.000 0.000 0.000 Sr
0.297 0.797 0.500 Tm
0.703 0.203 0.500 Tm
0.500 0.500 0.000 Rh
0.101 0.344 0.756 O
0.412 0.656 0.756 O
0.500 0.000 0.500 O
0.588 0.344 0.244 O
0.899 0.656 0.244 O
```



No. 5
Starting from a PBE-relaxed structure, the X-ray diffraction stick pattern of Sr2NdGe3Au12 was simulated for a wavelength of 1.5418 Å.
Lines closer than 0.1° are merged.

Peak list (8 most intense, 10 to 90 degrees two-theta, most intense first)
| 2θ (°) | I/Imax |
| --- | --- |
| 38.79 | 100 |
| 49.29 | 44 |
| 33.06 | 37 |
| 29.23 | 34 |
| 29.55 | 32 |
| 30.99 | 32 |
| 24.13 | 20 |
| 19.11 | 19 |

Crystal structure
```
Sr2NdGe3Au12
1.0
4.643 2.681 6.111
-4.643 2.681 6.111
0.000 -5.362 6.111
Sr Nd Ge Au
2 1 3 12
Direct
0.099 0.099 0.099 Sr
0.901 0.901 0.901 Sr
0.500 0.500 0.500 Nd
0.000 0.500 0.500 Ge
0.500 0.000 0.500 Ge
0.500 0.500 0.000 Ge
0.116 0.652 0.652 Au
0.189 0.189 0.658 Au
0.189 0.658 0.189 Au
0.342 0.811 0.811 Au
0.348 0.348 0.884 Au
0.348 0.884 0.348 Au
0.652 0.116 0.652 Au
0.652 0.652 0.116 Au
0.658 0.189 0.189 Au
0.811 0.342 0.811 Au
0.811 0.811 0.342 Au
0.884 0.348 0.348 Au
```



No. 6
Starting from a PBE-relaxed structure, the X-ray diffraction stick pattern of Ho3ZnCu3 was simulated for a wavelength of 1.5418 Å.
Lines closer than 0.1° are merged.

Peak list (8 most intense, 10 to 90 degrees two-theta, most intense first)
| 2θ (°) | I/Imax |
| --- | --- |
| 33.12 | 100 |
| 32.63 | 75 |
| 41.02 | 64 |
| 43.56 | 58 |
| 34.25 | 56 |
| 40.06 | 50 |
| 35.39 | 43 |
| 57.35 | 38 |

Crystal structure
```
Ho3ZnCu3
1.0
5.076 -2.078 0.000
5.076 2.078 0.000
-4.554 0.000 13.512
Ho Zn Cu
6 2 6
Direct
0.036 0.036 0.389 Ho
0.107 0.107 0.922 Ho
0.246 0.246 0.232 Ho
0.754 0.754 0.768 Ho
0.893 0.893 0.078 Ho
0.964 0.964 0.611 Ho
0.257 0.257 0.605 Zn
0.743 0.743 0.395 Zn
0.371 0.371 0.455 Cu
0.396 0.396 0.923 Cu
0.465 0.465 0.767 Cu
0.535 0.535 0.233 Cu
0.604 0.604 0.077 Cu
0.629 0.629 0.545 Cu
```